For BaVCu4P4O17, a DFT-relaxed cell (PBE+U, Alexandria) gives the theoretical X-ray powder pattern in this record (Cu Kα X-rays).

Most intense lines, 10 to 80 degrees two-theta, most intense first:
two_theta  intensity  (hkl)
28.79  100  2 2 1
22.00  56  2 0 1
30.58  51  2 0 2
41.71  26  4 2 0
30.27  25  3 0 1
61.94  24  6 2 1
25.97  23  1 0 2
38.30  22  3 1 2
17.72  21  1 1 1
37.15  21  4 0 0

Structural model:
Lattice parameters (Å, degrees): 9.677 9.677 7.338 90.00 90.00 90.00
Space group P42_12 (No. 90)
One atom of each set of equivalent atoms:
Ba 0.000 0.000 0.000 (multiplicity 2)
V 0.000 0.500 0.027 (multiplicity 2)
Cu 0.017 0.267 0.596 (multiplicity 8)
P 0.188 0.722 0.264 (multiplicity 8)
O 0.000 0.500 0.799 (multiplicity 2)
O 0.101 0.669 0.103 (multiplicity 8)
O 0.120 0.840 0.729 (multiplicity 8)
O 0.133 0.654 0.447 (multiplicity 8)
O 0.158 0.183 0.754 (multiplicity 8)